# 1
Calculated XRD peak list of La2Y3Er2 for Cu Kα (weighted mean of Kα1 and Kα2), from a PBE-relaxed structure.
Neutral-atom scattering factors, no anomalous dispersion.

Top 10 peaks for 2θ from 10° to 90°, by angle:
- 25.45 deg, intensity 21.4
- 30.87 deg, intensity 68.8
- 31.06 deg, intensity 100.0
- 31.63 deg, intensity 28.4
- 32.11 deg, intensity 46.3
- 37.85 deg, intensity 20.1
- 45.69 deg, intensity 20.2
- 54.63 deg, intensity 24.6
- 56.59 deg, intensity 18.0
- 61.50 deg, intensity 28.0

Crystal structure
```
La2Y3Er2
1.0
3.540 0.000 0.000
0.000 5.575 0.000
0.000 0.000 23.538
La Y Er
4 6 4
Cartesian
0.000 0.000 1.647
0.000 0.000 21.891
1.770 2.787 10.122
1.770 2.787 13.416
0.000 0.000 11.769
0.000 2.787 6.817
0.000 2.787 16.720
1.770 0.000 4.951
1.770 0.000 18.586
1.770 2.787 0.000
0.000 2.787 3.412
0.000 2.787 20.125
1.770 0.000 8.357
1.770 0.000 15.181
```

***

# 2
Calculated XRD peak list of DyEr8Bi6 for Cu Kα (weighted mean of Kα1 and Kα2), from a PBE-relaxed structure.
Neutral-atom scattering factors, no anomalous dispersion.

Top 10 peaks for 2θ from 10° to 90°, by angle:
- 23.49 deg, intensity 9.7
- 25.21 deg, intensity 19.6
- 29.81 deg, intensity 100.0
- 36.31 deg, intensity 20.7
- 41.28 deg, intensity 43.5
- 44.02 deg, intensity 25.4
- 51.75 deg, intensity 22.0
- 63.76 deg, intensity 14.6
- 68.25 deg, intensity 19.4
- 77.17 deg, intensity 10.1

Crystal structure
```
DyEr8Bi6
1.0
3.788 2.187 9.801
-3.788 2.187 9.801
0.000 -4.374 9.801
Dy Er Bi
1 8 6
Cartesian
0.000 0.000 0.000
-2.528 0.015 13.384
-1.277 -2.182 16.018
0.000 0.000 9.802
1.251 -2.197 13.384
-1.251 2.197 16.018
0.000 0.000 19.599
1.277 2.182 13.384
2.528 -0.015 16.018
-1.272 -2.177 11.636
-2.521 0.013 17.766
-1.249 2.190 11.636
1.249 -2.190 17.766
2.521 -0.013 11.636
1.272 2.177 17.766
```

***

# 3
Calculated XRD peak list of CePuHgGe for Cu Kα (weighted mean of Kα1 and Kα2), from a PBE-relaxed structure.
Neutral-atom scattering factors, no anomalous dispersion.

Top 10 peaks for 2θ from 10° to 90°, by angle:
- 26.72 deg, intensity 32.7
- 32.95 deg, intensity 71.8
- 35.50 deg, intensity 100.0
- 47.28 deg, intensity 26.6
- 52.99 deg, intensity 14.4
- 55.14 deg, intensity 9.8
- 60.49 deg, intensity 43.5
- 65.32 deg, intensity 10.2
- 78.70 deg, intensity 12.2
- 80.16 deg, intensity 10.6

Crystal structure
```
CePuHgGe
1.0
3.845 0.000 0.000
0.000 3.845 0.000
0.000 0.000 6.716
Ce Pu Hg Ge
1 1 1 1
Cartesian
0.000 0.000 0.000
0.000 0.000 3.937
1.922 1.922 2.008
1.922 1.922 5.289
```

***

# 4
Calculated XRD peak list of Mg3Cd3Ga for Cu Kα (weighted mean of Kα1 and Kα2), from a PBE-relaxed structure.
Neutral-atom scattering factors, no anomalous dispersion.

Top 10 peaks for 2θ from 10° to 90°, by angle:
- 12.79 deg, intensity 22.7
- 25.74 deg, intensity 57.3
- 27.88 deg, intensity 38.6
- 28.81 deg, intensity 21.8
- 30.78 deg, intensity 16.8
- 36.73 deg, intensity 48.0
- 38.30 deg, intensity 100.0
- 39.03 deg, intensity 18.9
- 46.75 deg, intensity 18.4
- 67.21 deg, intensity 17.4

Crystal structure
```
Mg3Cd3Ga
1.0
4.890 -4.900 0.000
4.890 4.900 0.000
0.000 0.000 6.400
Mg Cd Ga
6 6 2
Cartesian
0.000 0.000 1.575
0.000 0.000 4.825
2.445 2.450 1.555
2.445 2.450 4.845
2.445 -2.450 1.555
2.445 -2.450 4.845
2.704 0.000 3.200
4.890 2.122 3.200
4.890 1.625 0.000
4.890 -1.625 0.000
4.890 -2.122 3.200
7.077 0.000 3.200
2.463 0.000 0.000
7.318 0.000 0.000
```

***

# 5
Calculated XRD peak list of Cs6Br4O for Cu Kα (weighted mean of Kα1 and Kα2), from a PBE-relaxed structure.
Neutral-atom scattering factors, no anomalous dispersion.

Top 10 peaks for 2θ from 10° to 90°, by angle:
- 21.42 deg, intensity 18.8
- 21.82 deg, intensity 30.7
- 25.40 deg, intensity 13.9
- 26.94 deg, intensity 44.1
- 28.04 deg, intensity 30.9
- 29.66 deg, intensity 100.0
- 30.38 deg, intensity 28.6
- 33.74 deg, intensity 13.8
- 44.76 deg, intensity 14.0
- 44.90 deg, intensity 15.7

Crystal structure
```
Cs6Br4O
1.0
7.014 4.049 5.885
-7.014 4.049 5.885
0.000 -8.099 5.885
Cs Br O
12 8 2
Cartesian
-6.157 -1.836 10.074
-1.488 -6.250 7.580
-1.488 -1.849 7.131
-4.669 4.414 7.580
-0.857 2.213 7.131
-2.345 0.364 10.522
2.345 -0.364 7.131
0.857 -2.213 10.522
4.669 -4.414 10.074
1.488 1.849 10.522
1.488 6.250 10.074
6.157 1.836 7.580
-4.351 0.563 7.356
0.000 0.000 4.413
-2.663 -3.487 10.298
1.688 -4.049 7.356
-1.688 4.049 10.298
2.663 3.487 7.356
0.000 0.000 13.240
4.351 -0.563 10.298
0.000 0.000 0.000
0.000 0.000 8.827
```

***

# 6
Calculated XRD peak list of ReSi2Ru3 for Cu Kα (weighted mean of Kα1 and Kα2), from a PBE-relaxed structure.
Neutral-atom scattering factors, no anomalous dispersion.

Top 10 peaks for 2θ from 10° to 90°, by angle:
- 32.55 deg, intensity 25.2
- 36.46 deg, intensity 25.7
- 37.46 deg, intensity 9.9
- 42.29 deg, intensity 100.0
- 44.63 deg, intensity 47.3
- 59.64 deg, intensity 10.3
- 64.96 deg, intensity 15.3
- 75.67 deg, intensity 13.1
- 77.05 deg, intensity 8.3
- 80.61 deg, intensity 30.1

Crystal structure
```
ReSi2Ru3
1.0
2.871 0.000 0.000
0.000 2.871 0.000
0.000 0.000 9.602
Re Si Ru
1 2 3
Cartesian
0.000 0.000 0.000
0.000 0.000 3.300
0.000 0.000 6.303
1.436 1.436 1.858
1.436 1.436 4.801
1.436 1.436 7.744
```

***

# 7
Calculated XRD peak list of NdIn3Br7 for Cu Kα (weighted mean of Kα1 and Kα2), from a PBE-relaxed structure.
Neutral-atom scattering factors, no anomalous dispersion.

Top 10 peaks for 2θ from 10° to 90°, by angle:
- 17.13 deg, intensity 51.4
- 20.75 deg, intensity 47.1
- 25.30 deg, intensity 88.3
- 29.43 deg, intensity 100.0
- 30.51 deg, intensity 51.4
- 33.73 deg, intensity 37.4
- 35.85 deg, intensity 39.8
- 37.13 deg, intensity 43.3
- 39.83 deg, intensity 35.7
- 41.15 deg, intensity 31.6

Crystal structure
```
NdIn3Br7
1.0
5.446 -5.315 0.000
5.446 5.315 0.000
-2.368 0.000 7.223
Nd In Br
1 3 7
Cartesian
0.000 0.000 0.000
4.388 2.912 3.754
5.758 0.000 0.671
4.388 -2.912 3.754
1.940 3.228 5.590
-0.075 0.000 5.426
6.602 3.177 1.614
4.361 0.000 3.470
1.940 -3.228 5.590
8.720 0.000 1.991
6.602 -3.177 1.614
```

***

# 8
Calculated XRD peak list of NaMgGa2Ru for Cu Kα (weighted mean of Kα1 and Kα2), from a PBE-relaxed structure.
Neutral-atom scattering factors, no anomalous dispersion.

Top 10 peaks for 2θ from 10° to 90°, by angle:
- 17.75 deg, intensity 100.0
- 18.42 deg, intensity 52.0
- 25.69 deg, intensity 43.4
- 31.79 deg, intensity 21.2
- 35.94 deg, intensity 38.6
- 37.33 deg, intensity 69.4
- 41.62 deg, intensity 45.2
- 52.79 deg, intensity 49.7
- 53.83 deg, intensity 23.4
- 66.43 deg, intensity 24.1

Crystal structure
```
NaMgGa2Ru
1.0
4.817 0.000 0.000
0.000 4.817 0.000
0.000 0.000 4.997
Na Mg Ga Ru
1 1 2 1
Cartesian
0.000 0.000 0.000
2.409 2.409 0.000
0.000 2.409 2.499
2.409 0.000 2.499
2.409 2.409 2.499
```

***

# 9
Calculated XRD peak list of Tb3Pm6YHo2 for Cu Kα (weighted mean of Kα1 and Kα2), from a PBE-relaxed structure.
Neutral-atom scattering factors, no anomalous dispersion.

Top 10 peaks for 2θ from 10° to 90°, by angle:
- 30.37 deg, intensity 100.0
- 30.60 deg, intensity 32.6
- 35.28 deg, intensity 67.1
- 50.59 deg, intensity 24.1
- 50.90 deg, intensity 23.7
- 60.15 deg, intensity 14.4
- 60.29 deg, intensity 28.5
- 60.57 deg, intensity 14.0
- 63.18 deg, intensity 12.4
- 82.38 deg, intensity 11.8

Crystal structure
```
Tb3Pm6YHo2
1.0
3.125 -5.412 0.000
3.125 5.412 0.000
-2.077 0.000 11.685
Tb Pm Y Ho
3 6 1 2
Cartesian
0.000 0.000 0.000
3.125 1.805 0.000
3.125 -1.805 0.000
1.037 1.809 2.928
0.003 0.000 8.758
1.037 -1.809 2.928
3.137 1.809 8.756
4.171 0.000 2.927
3.137 -1.809 8.756
2.087 0.000 5.842
2.087 3.609 5.842
2.087 -3.609 5.842
```

***

# 10
Calculated XRD peak list of SrHgF5 for Cu Kα (weighted mean of Kα1 and Kα2), from a PBE-relaxed structure.
Neutral-atom scattering factors, no anomalous dispersion.

Top 10 peaks for 2θ from 10° to 90°, by angle:
- 16.79 deg, intensity 40.6
- 21.23 deg, intensity 79.2
- 24.89 deg, intensity 100.0
- 26.19 deg, intensity 37.8
- 29.59 deg, intensity 40.4
- 33.95 deg, intensity 38.9
- 36.00 deg, intensity 29.0
- 45.43 deg, intensity 22.8
- 48.38 deg, intensity 24.2
- 52.88 deg, intensity 21.8

Crystal structure
```
SrHgF5
1.0
4.353 -3.403 0.000
4.353 3.403 0.000
-2.370 0.000 8.300
Sr Hg F
2 2 10
Cartesian
2.576 3.242 6.225
3.761 -3.242 2.075
4.353 0.000 0.000
3.168 0.000 4.150
3.751 2.161 0.028
1.583 0.777 3.017
3.771 2.161 4.122
2.576 0.789 6.225
0.398 -0.777 7.167
5.938 0.777 1.133
3.761 -0.789 2.075
2.566 -2.161 4.178
4.753 -0.777 5.282
2.586 -2.161 8.272
```

***

# 11
Calculated XRD peak list of Ba3Tl5Pb6 for Cu Kα (weighted mean of Kα1 and Kα2), from a PBE-relaxed structure.
Neutral-atom scattering factors, no anomalous dispersion.

Top 10 peaks for 2θ from 10° to 90°, by angle:
- 27.84 deg, intensity 21.3
- 28.45 deg, intensity 100.0
- 29.72 deg, intensity 19.2
- 30.14 deg, intensity 34.2
- 34.41 deg, intensity 52.4
- 35.30 deg, intensity 41.7
- 36.25 deg, intensity 36.8
- 36.74 deg, intensity 20.5
- 50.13 deg, intensity 22.2
- 53.72 deg, intensity 19.1

Crystal structure
```
Ba3Tl5Pb6
1.0
5.085 0.000 0.000
0.000 15.636 0.000
0.000 0.000 12.381
Ba Tl Pb
6 10 12
Cartesian
1.271 0.871 3.094
1.271 6.948 3.094
1.271 11.727 3.074
3.813 3.909 9.307
3.813 8.689 9.286
3.813 14.766 9.286
1.271 1.551 7.752
1.271 6.267 7.752
1.271 9.400 11.848
1.271 11.727 9.162
1.271 14.055 11.848
3.813 1.582 0.533
3.813 3.909 3.219
3.813 6.236 0.533
3.813 9.370 4.629
3.813 14.085 4.629
1.271 1.567 10.933
1.271 3.909 0.709
1.271 3.909 5.568
1.271 6.251 10.933
1.271 9.328 6.572
1.271 14.127 6.572
3.813 1.510 5.809
3.813 6.309 5.809
3.813 9.385 1.448
3.813 11.727 6.813
3.813 11.727 11.672
3.813 14.069 1.448
```

***

# 12
Calculated XRD peak list of Tb3Nd5Dy3 for Cu Kα (weighted mean of Kα1 and Kα2), from a PBE-relaxed structure.
Neutral-atom scattering factors, no anomalous dispersion.

Top 10 peaks for 2θ from 10° to 90°, by angle:
- 24.04 deg, intensity 35.3
- 27.32 deg, intensity 96.6
- 30.28 deg, intensity 89.5
- 31.66 deg, intensity 55.1
- 32.98 deg, intensity 100.0
- 35.51 deg, intensity 74.0
- 41.24 deg, intensity 79.4
- 48.30 deg, intensity 49.3
- 62.97 deg, intensity 48.8
- 63.78 deg, intensity 42.7

Crystal structure
```
Tb3Nd5Dy3
1.0
11.308 0.000 0.000
-5.654 9.793 0.000
0.000 0.000 3.460
Tb Nd Dy
3 5 3
Cartesian
-2.284 3.957 0.000
4.569 0.000 0.000
3.369 5.836 0.000
-3.738 6.474 1.730
0.000 6.528 1.730
1.916 3.319 1.730
7.475 0.000 1.730
5.654 3.264 1.730
-0.901 1.561 1.730
1.803 0.000 1.730
4.752 8.232 1.730
```

***

# 13
Calculated XRD peak list of CeNdHgPb for Cu Kα (weighted mean of Kα1 and Kα2), from a PBE-relaxed structure.
Neutral-atom scattering factors, no anomalous dispersion.

Top 10 peaks for 2θ from 10° to 90°, by angle:
- 31.95 deg, intensity 100.0
- 34.82 deg, intensity 39.9
- 41.24 deg, intensity 12.6
- 50.06 deg, intensity 14.4
- 55.04 deg, intensity 21.8
- 60.63 deg, intensity 32.7
- 66.80 deg, intensity 12.3
- 69.36 deg, intensity 11.0
- 82.39 deg, intensity 7.0
- 83.98 deg, intensity 6.7

Crystal structure
```
CeNdHgPb
1.0
5.153 0.000 0.000
0.000 5.153 0.000
0.000 0.000 8.757
Ce Nd Hg Pb
2 2 2 2
Cartesian
0.000 0.000 0.000
2.577 2.577 4.379
0.000 0.000 4.379
2.577 2.577 0.000
0.000 2.577 2.189
2.577 0.000 6.568
0.000 2.577 6.568
2.577 0.000 2.189
```